Starting from a DFT-relaxed cell (PBE, the Materials Project), the powder XRD pattern of MgCo4Sb4S4 was simulated for Cu Kα (weighted mean of Kα1 and Kα2).
Intensities are scaled so that the largest is 100.

Cell and atoms:
Unit cell a=6.092 b=6.092 c=6.092 alpha=89.65 beta=89.65 gamma=89.65
Positions (direct):
Mg 0.000 0.000 0.000
Co 0.192 0.738 0.674
Co 0.234 0.234 0.234
Co 0.674 0.192 0.738
Co 0.738 0.674 0.192
Sb 0.084 0.382 0.825
Sb 0.382 0.825 0.084
Sb 0.554 0.554 0.554
Sb 0.825 0.084 0.382
S 0.093 0.590 0.316
S 0.316 0.093 0.590
S 0.590 0.316 0.093
S 0.792 0.792 0.792

Main lines, by angle (2θ = 5–70°):
d/Å, intensity
4.294, 25
2.731, 100
2.717, 48
2.500, 17
2.481, 89
2.160, 14
1.836, 36
1.832, 15
1.636, 19
1.624, 21

---

Starting from a DFT-relaxed cell (PBE, the Materials Project), the powder XRD pattern of MgSn2O4 was simulated for Cu Kα (weighted mean of Kα1 and Kα2).
Intensities are scaled so that the largest is 100.

Cell and atoms:
Unit cell a=6.525 b=6.525 c=6.525 alpha=121.66 beta=114.77 gamma=93.22
Positions (direct):
Mg 0.000 0.000 0.000
Mg 0.500 0.000 0.500
Sn 0.000 0.000 0.500
Sn 0.000 0.500 0.000
Sn 0.385 0.635 0.750
Sn 0.615 0.365 0.250
O 0.183 0.235 0.948
O 0.213 0.765 0.448
O 0.234 0.211 0.477
O 0.234 0.757 0.023
O 0.766 0.243 0.977
O 0.766 0.789 0.523
O 0.787 0.235 0.552
O 0.817 0.765 0.052

Main lines, by angle (2θ = 5–70°):
d/Å, intensity
4.482, 17
3.517, 39
3.249, 39
2.911, 21
2.755, 100
2.705, 12
1.847, 38
1.832, 12
1.737, 14
1.625, 33

---

Starting from a DFT-relaxed cell (PBE, the Materials Project), the powder XRD pattern of TbN was simulated for Cu Kα (weighted mean of Kα1 and Kα2).
Intensities are scaled so that the largest is 100.

Cell and atoms:
Unit cell a=3.498 b=3.498 c=3.498 alpha=60.00 beta=60.00 gamma=60.00
Positions (direct):
Tb 0.000 0.000 0.000
N 0.500 0.500 0.500

Main lines, by angle (2θ = 5–70°):
d/Å, intensity
2.856, 100
2.474, 72
1.749, 49
1.492, 45
1.428, 17

---

Starting from a DFT-relaxed cell (PBE, the Materials Project), the powder XRD pattern of CaAl2H8 was simulated for Cu Kα (weighted mean of Kα1 and Kα2).
Intensities are scaled so that the largest is 100.

Cell and atoms:
Unit cell a=4.220 b=11.834 c=4.372 alpha=90.00 beta=93.77 gamma=90.00
Positions (direct):
Ca 0.000 0.000 0.000
Ca 0.000 0.500 0.500
Al 0.321 0.185 0.625
Al 0.321 0.315 0.125
Al 0.679 0.685 0.875
Al 0.679 0.815 0.375
H 0.052 0.093 0.471
H 0.052 0.407 0.971
H 0.091 0.199 0.950
H 0.091 0.301 0.450
H 0.459 0.705 0.189
H 0.459 0.795 0.689
H 0.481 0.579 0.681
H 0.481 0.921 0.181
H 0.519 0.079 0.819
H 0.519 0.421 0.319
H 0.541 0.205 0.311
H 0.541 0.295 0.811
H 0.909 0.699 0.550
H 0.909 0.801 0.050
H 0.948 0.593 0.029
H 0.948 0.907 0.529

Main lines, by angle (2θ = 5–70°):
d/Å, intensity
4.093, 28
3.967, 82
3.511, 23
3.431, 88
2.926, 100
2.848, 56
2.453, 45
1.991, 24
1.842, 35
1.797, 22

---

Starting from a DFT-relaxed cell (PBE, the Materials Project), the powder XRD pattern of CeO2 was simulated for Cu Kα (weighted mean of Kα1 and Kα2).
Intensities are scaled so that the largest is 100.

Cell and atoms:
Unit cell a=4.102 b=4.102 c=4.102 alpha=132.00 beta=132.00 gamma=70.23
Positions (direct):
Ce 0.000 0.000 0.000
O 0.335 0.335 0.000
O 0.665 0.665 0.000

Main lines, by angle (2θ = 5–70°):
d/Å, intensity
3.355, 34
2.988, 100
2.359, 52
1.930, 30
1.858, 49
1.678, 5
1.668, 17
1.494, 13
1.457, 25
1.367, 10

---

Starting from a DFT-relaxed cell (PBE, the Materials Project), the powder XRD pattern of Ca2YSnO5 was simulated for Cu Kα (weighted mean of Kα1 and Kα2).
Intensities are scaled so that the largest is 100.

Cell and atoms:
Unit cell a=5.972 b=6.041 c=8.722 alpha=70.21 beta=71.22 gamma=89.36
Positions (direct):
Ca 0.000 0.000 0.000
Ca 0.225 0.229 0.486
Ca 0.491 0.500 0.994
Ca 0.736 0.767 0.493
Y 0.140 0.679 0.703
Y 0.583 0.126 0.781
Sn 0.357 0.800 0.246
Sn 0.873 0.352 0.217
O 0.073 0.582 0.492
O 0.139 0.639 0.140
O 0.275 0.994 0.751
O 0.281 0.122 0.096
O 0.427 0.931 0.415
O 0.475 0.499 0.734
O 0.557 0.505 0.313
O 0.640 0.860 0.008
O 0.873 0.969 0.632
O 0.884 0.401 0.951

Main lines, by angle (2θ = 5–70°):
d/Å, intensity
4.269, 62
4.223, 55
3.020, 87
2.985, 95
2.905, 92
2.865, 78
2.835, 83
2.824, 100
2.134, 41
2.112, 48

---

Starting from a DFT-relaxed cell (PBE, the Materials Project), the powder XRD pattern of V3Si was simulated for Cu Kα (weighted mean of Kα1 and Kα2).
Intensities are scaled so that the largest is 100.

Cell and atoms:
Unit cell a=4.702 b=4.702 c=4.702 alpha=90.00 beta=90.00 gamma=90.00
Positions (direct):
V 0.000 0.250 0.500
V 0.000 0.750 0.500
V 0.250 0.500 0.000
V 0.500 0.000 0.250
V 0.500 0.000 0.750
V 0.750 0.500 0.000
Si 0.000 0.000 0.000
Si 0.500 0.500 0.500

Main lines, by angle (2θ = 5–70°):
d/Å, intensity
3.325, 9
2.351, 22
2.103, 100
1.920, 46
1.663, 1
1.487, 1
1.357, 10

---

What is the formula in the third record? TbN